Starting from a PBE-relaxed structure, the powder XRD pattern of LaMg6Sc was calculated for CuKα.
Intensities are scaled so that the largest is 100.

Structure:
a b c (Å): 6.7716 6.7716 4.4307
angles (deg): 90.00 90.00 90.00
Sites, in units of the cell vectors:
La 0.0000 0.0000 0.0000
Mg 0.0000 0.5000 0.0000
Mg 0.2630 0.2630 0.5000
Mg 0.2630 0.7370 0.5000
Mg 0.5000 0.0000 0.0000
Mg 0.7370 0.2630 0.5000
Mg 0.7370 0.7370 0.5000
Sc 0.5000 0.5000 0.0000

Principal peaks in the range 2θ = 10–80°, sorted by position:
index, two_theta, Rel. int.
1 0 0, 13.1, 26
1 1 0, 18.5, 33
1 0 1, 24.0, 20
2 0 0, 26.3, 14
1 1 1, 27.4, 25
2 0 1, 33.3, 100
2 2 0, 37.6, 35
0 0 2, 40.7, 14
2 2 2, 56.6, 21
4 2 1, 65.1, 27

---

Starting from a PBE-relaxed structure, the powder XRD pattern of PaPd6Pt3 was calculated for CuKα.
Intensities are scaled so that the largest is 100.

Structure:
a b c (Å): 9.5009 4.5920 9.6219
angles (deg): 90.00 118.81 90.00
Sites, in units of the cell vectors:
Pa 0.1775 0.2500 0.1747
Pa 0.8225 0.7500 0.8253
Pd 0.0058 0.2500 0.8251
Pd 0.1768 0.7500 0.9976
Pd 0.1801 0.2500 0.6716
Pd 0.3246 0.7500 0.8216
Pd 0.3397 0.7500 0.3372
Pd 0.4888 0.7500 0.6658
Pd 0.5112 0.2500 0.3342
Pd 0.6603 0.2500 0.6628
Pd 0.6754 0.2500 0.1784
Pd 0.8199 0.7500 0.3284
Pd 0.8232 0.2500 0.0024
Pd 0.9942 0.7500 0.1749
Pt 0.0051 0.2500 0.3533
Pt 0.3302 0.2500 0.5028
Pt 0.3555 0.2500 0.0031
Pt 0.6445 0.7500 0.9969
Pt 0.6698 0.7500 0.4972
Pt 0.9949 0.7500 0.6467

Principal peaks in the range 2θ = 10–80°, sorted by position:
index, two_theta, Rel. int.
1 1 0, 22.1, 53
1 1 -2, 26.8, 17
2 0 -4, 37.4, 23
4 0 -2, 37.9, 25
0 2 0, 39.2, 77
2 1 2, 42.0, 100
2 1 -4, 42.4, 78
4 1 -2, 42.9, 70
4 2 -2, 55.7, 17
2 3 2, 73.0, 20

---

Starting from a PBE-relaxed structure, the powder XRD pattern of Pr3Ga10Ni was calculated for CuKα.
Intensities are scaled so that the largest is 100.

Structure:
a b c (Å): 4.2890 4.3024 15.3959
angles (deg): 90.00 90.00 90.00
Sites, in units of the cell vectors:
Pr 0.0000 0.0000 0.0000
Pr 0.0000 0.5000 0.2510
Pr 0.0000 0.5000 0.7490
Ga 0.0000 0.0000 0.4157
Ga 0.0000 0.0000 0.5843
Ga 0.5000 0.0000 0.1581
Ga 0.5000 0.0000 0.3165
Ga 0.5000 0.0000 0.6835
Ga 0.5000 0.0000 0.8419
Ga 0.5000 0.5000 0.0805
Ga 0.5000 0.5000 0.4155
Ga 0.5000 0.5000 0.5845
Ga 0.5000 0.5000 0.9195
Ni 0.0000 0.5000 0.5000

Principal peaks in the range 2θ = 10–80°, sorted by position:
index, two_theta, Rel. int.
1 0 4, 31.2, 49
1 1 2, 31.7, 100
0 1 6, 41.0, 31
1 1 5, 41.8, 17
0 2 0, 42.0, 32
2 0 0, 42.1, 31
0 1 7, 46.3, 14
1 2 4, 53.3, 21
2 1 6, 60.2, 18
2 2 0, 61.0, 20

---

Starting from a PBE-relaxed structure, the powder XRD pattern of LaDyIr was calculated for CuKα.
Intensities are scaled so that the largest is 100.

Structure:
a b c (Å): 4.1887 4.1887 6.3619
angles (deg): 90.00 90.00 120.00
Sites, in units of the cell vectors:
La 0.0000 0.0000 0.0000
Dy 0.6667 0.3333 0.5456
Ir 0.3333 0.6667 0.7624

Principal peaks in the range 2θ = 10–80°, sorted by position:
index, two_theta, Rel. int.
0 0 1, 13.9, 51
1 0 1, 28.3, 100
1 0 2, 37.6, 59
1 1 0, 43.2, 41
1 1 1, 45.6, 16
0 1 3, 49.8, 27
0 2 1, 52.5, 18
0 2 2, 58.6, 16
2 1 1, 70.2, 15
2 1 2, 75.5, 16